# 1
The following is a simulated powder diffraction line list of Na5Li3Ti2S8. It was derived from the PBE geometry in Alexandria, using Cu Kα X-rays.
Intensities are scaled so that the largest is 100.

Structure:
```
data_Na5Li3Ti2S8
_space_group_name_H-M_alt 'C 1 2/c 1'
_space_group_IT_number 15
_cell_length_a 17.704
_cell_length_b 9.714
_cell_length_c 12.197
_cell_angle_alpha 90.00
_cell_angle_beta 133.44
_cell_angle_gamma 90.00
loop_
_space_group_symop_operation_xyz
'x,y,z'
'-x,-y,-z'
'-x,y,-z+1/2'
'x,-y,z+1/2'
'x+1/2,y+1/2,z'
'-x+1/2,-y+1/2,-z'
'-x+1/2,y+1/2,-z+1/2'
'x+1/2,-y+1/2,z+1/2'
loop_
_atom_site_label
_atom_site_type_symbol
_atom_site_fract_x
_atom_site_fract_y
_atom_site_fract_z
Na1 Na 0.000 0.010 0.250
Na2 Na 0.099 0.486 0.234
Na3 Na 0.148 0.246 0.017
Li1 Li 0.192 0.001 0.257
Li2 Li 0.250 0.250 0.500
Ti1 Ti 0.084 0.235 0.534
S1 S 0.085 0.204 0.175
S2 S 0.115 0.220 0.749
S3 S 0.130 0.445 0.508
S4 S 0.179 0.063 0.550
```

The 10 most intense peaks (10° ≤ 2θ ≤ 90°), in order of rising 2θ:
18.08 deg, d 4.906, I 82.6, (3 1 -1); 23.41 deg, d 3.799, I 44.7, (2 2 -2); 27.28 deg, d 3.269, I 49.9, (4 2 -2); 27.76 deg, d 3.214, I 100.0, (4 0 0); 28.47 deg, d 3.135, I 67.1, (1 3 -1); 29.29 deg, d 3.049, I 85.8, (4 0 -4); 31.45 deg, d 2.845, I 46.8, (2 0 2); 37.02 deg, d 2.429, I 52.8, (0 4 0); 40.77 deg, d 2.213, I 58.3, (0 0 4); 46.62 deg, d 1.948, I 44.8, (5 3 -5)

=====

# 2
The following is a simulated powder diffraction line list of Mg3Zn. It was derived from the PBE geometry in Alexandria, using Cu Kα X-rays.
Intensities are scaled so that the largest is 100.

Structure:
```
data_Mg3Zn
_space_group_name_H-M_alt 'P 4/m m m'
_space_group_IT_number 123
_space_group_name_Hall '-P 4 2'
_cell_length_a 3.184
_cell_length_b 3.184
_cell_length_c 8.119
_cell_angle_alpha 90.00
_cell_angle_beta 90.00
_cell_angle_gamma 90.00
loop_
_atom_site_label
_atom_site_type_symbol
_atom_site_fract_x
_atom_site_fract_y
_atom_site_fract_z
Mg1 Mg 0.000 0.000 0.000
Mg2 Mg 0.500 0.500 0.281
Zn1 Zn 0.000 0.000 0.500
```

The 10 most intense peaks (10° ≤ 2θ ≤ 90°), in order of rising 2θ:
10.90 deg, d 8.119, I 60.4, (0 0 1); 21.89 deg, d 4.059, I 10.2, (0 0 2); 35.85 deg, d 2.505, I 100.0, (1 0 2); 40.05 deg, d 2.251, I 38.4, (1 1 0); 41.63 deg, d 2.169, I 9.7, (1 1 1); 43.91 deg, d 2.062, I 14.6, (1 0 3); 44.64 deg, d 2.030, I 11.3, (0 0 4); 57.93 deg, d 1.592, I 12.3, (2 0 0); 61.51 deg, d 1.507, I 16.5, (1 1 4); 70.03 deg, d 1.344, I 25.5, (2 1 2)

=====

# 3
The following is a simulated powder diffraction line list of Sr2TbCu2Bi2O8. It was derived from the PBE geometry in Alexandria, using Cu Kα X-rays.
Intensities are scaled so that the largest is 100.

Structure:
```
data_Sr2TbCu2Bi2O8
_space_group_name_H-M_alt 'I 4/m m m'
_space_group_IT_number 139
_space_group_name_Hall '-I 4 2'
_cell_length_a 3.795
_cell_length_b 3.795
_cell_length_c 30.756
_cell_angle_alpha 90.00
_cell_angle_beta 90.00
_cell_angle_gamma 90.00
loop_
_atom_site_label
_atom_site_type_symbol
_atom_site_fract_x
_atom_site_fract_y
_atom_site_fract_z
Sr1 Sr 0.000 0.000 0.114
Tb1 Tb 0.000 0.000 0.000
Cu1 Cu 0.000 0.000 0.448
Bi1 Bi 0.000 0.000 0.297
O1 O 0.000 0.000 0.201
O2 O 0.000 0.000 0.366
O3 O 0.000 0.500 0.049
```

The 10 most intense peaks (10° ≤ 2θ ≤ 90°), in order of rising 2θ:
11.51 deg, d 7.689, I 21.6, (0 0 4); 25.02 deg, d 3.559, I 43.3, (1 0 3); 27.62 deg, d 3.230, I 46.1, (1 0 5); 29.03 deg, d 3.076, I 19.3, (0 0 10); 31.14 deg, d 2.872, I 100.0, (1 0 7); 33.39 deg, d 2.683, I 90.1, (1 1 0); 35.36 deg, d 2.538, I 18.9, (1 0 9); 44.83 deg, d 2.022, I 38.9, (1 1 10); 47.95 deg, d 1.897, I 42.1, (2 0 0); 58.29 deg, d 1.583, I 35.7, (2 1 7)

=====

# 4
The following is a simulated powder diffraction line list of Ta3Mo5. It was derived from the PBE geometry in Alexandria, using Cu Kα X-rays.
Intensities are scaled so that the largest is 100.

Structure:
```
data_Ta3Mo5
_space_group_name_H-M_alt 'A m m 2'
_space_group_IT_number 38
_cell_length_a 3.204
_cell_length_b 12.867
_cell_length_c 6.449
_cell_angle_alpha 90.00
_cell_angle_beta 90.00
_cell_angle_gamma 90.00
loop_
_space_group_symop_operation_xyz
'x,y,z'
'-x,-y,z'
'-x,y,z'
'x,-y,z'
'x,y+1/2,z+1/2'
'-x,-y+1/2,z+1/2'
'-x,y+1/2,z+1/2'
'x,-y+1/2,z+1/2'
loop_
_atom_site_label
_atom_site_type_symbol
_atom_site_fract_x
_atom_site_fract_y
_atom_site_fract_z
Ta1 Ta 0.000 0.000 0.000
Ta2 Ta 0.500 0.127 0.736
Mo1 Mo 0.000 0.000 0.486
Mo2 Mo 0.000 0.250 0.488
Mo3 Mo 0.500 0.126 0.244
```

The 10 most intense peaks (10° ≤ 2θ ≤ 90°), in order of rising 2θ:
15.37 deg, d 5.765, I 6.6, (0 1 1); 39.62 deg, d 2.275, I 100.0, (1 0 2); 39.71 deg, d 2.270, I 49.9, (1 4 0); 57.14 deg, d 1.612, I 8.4, (0 0 4); 57.28 deg, d 1.608, I 8.4, (0 8 0); 57.53 deg, d 1.602, I 8.3, (2 0 0); 71.87 deg, d 1.314, I 33.9, (1 8 2); 72.09 deg, d 1.310, I 17.0, (2 4 2); 85.23 deg, d 1.139, I 5.5, (0 8 4); 85.57 deg, d 1.135, I 5.6, (2 8 0)

=====

# 5
The following is a simulated powder diffraction line list of La3ErAu7. It was derived from the PBE geometry in Alexandria, using Cu Kα X-rays.
Intensities are scaled so that the largest is 100.

Structure:
```
data_La3ErAu7
_space_group_name_H-M_alt 'C m c m'
_space_group_IT_number 63
_space_group_name_Hall '-C 2c 2'
_cell_length_a 3.861
_cell_length_b 21.671
_cell_length_c 13.392
_cell_angle_alpha 90.00
_cell_angle_beta 90.00
_cell_angle_gamma 90.00
loop_
_atom_site_label
_atom_site_type_symbol
_atom_site_fract_x
_atom_site_fract_y
_atom_site_fract_z
La1 La 0.000 0.131 0.049
La2 La 0.000 0.213 0.750
Er1 Er 0.000 0.009 0.750
Au1 Au 0.000 0.275 0.067
Au2 Au 0.000 0.382 0.750
Au3 Au 0.000 0.396 0.144
Au4 Au 0.000 0.477 0.594
```

The 10 most intense peaks (10° ≤ 2θ ≤ 90°), in order of rising 2θ:
23.40 deg, d 3.801, I 30.5, (1 1 0); 29.43 deg, d 3.035, I 22.9, (1 3 2); 30.90 deg, d 2.894, I 81.2, (1 1 3); 33.07 deg, d 2.709, I 26.6, (0 8 0); 33.83 deg, d 2.649, I 100.0, (1 5 2); 35.74 deg, d 2.512, I 34.6, (1 1 4); 38.89 deg, d 2.316, I 26.5, (0 8 3); 42.00 deg, d 2.151, I 31.4, (0 6 5); 42.56 deg, d 2.124, I 35.8, (1 7 3); 47.07 deg, d 1.931, I 33.9, (2 0 0)

=====

# 6
The following is a simulated powder diffraction line list of Ta2V4Si. It was derived from the PBE geometry in Alexandria, using Cu Kα X-rays.
Intensities are scaled so that the largest is 100.

Structure:
```
data_Ta2V4Si
_space_group_name_H-M_alt 'I 4/m m m'
_space_group_IT_number 139
_space_group_name_Hall '-I 4 2'
_cell_length_a 4.359
_cell_length_b 4.359
_cell_length_c 12.744
_cell_angle_alpha 90.00
_cell_angle_beta 90.00
_cell_angle_gamma 90.00
loop_
_atom_site_label
_atom_site_type_symbol
_atom_site_fract_x
_atom_site_fract_y
_atom_site_fract_z
Ta1 Ta 0.000 0.000 0.123
V1 V 0.000 0.000 0.316
V2 V 0.000 0.500 0.000
Si1 Si 0.000 0.000 0.500
```

The 10 most intense peaks (10° ≤ 2θ ≤ 90°), in order of rising 2θ:
21.54 deg, d 4.125, I 89.1, (1 0 1); 28.97 deg, d 3.082, I 96.9, (1 1 0); 29.36 deg, d 3.042, I 38.5, (1 0 3); 40.73 deg, d 2.215, I 100.0, (1 1 4); 41.02 deg, d 2.200, I 74.7, (1 0 5); 41.43 deg, d 2.180, I 84.7, (2 0 0); 47.16 deg, d 1.927, I 24.6, (2 1 1); 59.72 deg, d 1.549, I 48.5, (2 1 5); 60.03 deg, d 1.541, I 27.5, (2 2 0); 75.08 deg, d 1.265, I 32.2, (3 1 4)